For HfZr3Cu2N, a DFT-relaxed cell (GGA-PBE, Alexandria) gives the theoretical powder diffraction line list in this record (λ = 1.5418 Å (Cu Kα)).
Kinematic intensities with the Lorentz-polarization factor, no thermal factor.

Cell and atoms:
abc: 4.3658 4.4198 13.0120
angles: 90.00 90.00 90.00
Space group Immm (No. 71)
Unique sites:
Hf (0.0000, 0.0000, 0.0000) [2 per cell]
Zr (0.0000, 0.0000, 0.5000) [2 per cell]
Zr (0.0000, 0.5000, 0.3210) [4 per cell]
Cu (0.0000, 0.5000, 0.1234) [4 per cell]
N (0.0000, 0.5000, 0.5000) [2 per cell]

The 8 most intense peaks (10° ≤ 2θ ≤ 90°), by angle:
2θ 13.6, 6.506 Å, intensity 39.8
2θ 31.9, 2.803 Å, intensity 100.0
2θ 40.2, 2.246 Å, intensity 96.9
2θ 40.8, 2.210 Å, intensity 34.2
2θ 41.4, 2.183 Å, intensity 33.0
2θ 41.6, 2.169 Å, intensity 17.0
2θ 59.5, 1.553 Å, intensity 21.7
2θ 73.9, 1.283 Å, intensity 15.4